[1]
This entry pairs a crystal structure of LiHf6Tc5 with its theoretical X-ray diffraction stick pattern. Radiation: λ = 1.5418 Å (Cu Kα). Structure: a crystal structure in Alexandria, relaxed with GGA-PBE.

Most intense lines, 15° ≤ 2θ ≤ 90°, by intensity:
2theta  d_spacing  Rel. int.
39.0  2.312  1000
70.4  1.337  261
56.3  1.634  256
38.8  2.320  254
39.1  2.301  246
27.3  3.269  228
70.8  1.331  169
83.7  1.156  109
70.7  1.333  85
63.6  1.462  60
48.1  1.892  36
48.4  1.882  33

```
LiHf6Tc5
1.0
-2.3198 3.2712 6.9041
2.3198 -3.2712 6.9041
2.3198 3.2712 -6.9041
Li Hf Tc
1 6 5
Direct
0.0000 0.0000 0.0000
0.0844 0.8304 0.2540
0.2584 0.5000 0.7584
0.4237 0.1696 0.2540
0.5763 0.8304 0.7460
0.7416 0.5000 0.2416
0.9156 0.1696 0.7460
0.1644 0.6644 0.5000
0.3334 0.3334 0.0000
0.5000 0.0000 0.5000
0.6666 0.6666 0.0000
0.8356 0.3356 0.5000
```

=====

[2]
This entry pairs a crystal structure of LiHf5Tc4 with its theoretical X-ray diffraction stick pattern. Radiation: λ = 1.5418 Å (Cu Kα). Structure: a crystal structure in Alexandria, relaxed with GGA-PBE.

Most intense lines, 15° ≤ 2θ ≤ 90°, by intensity:
2theta  d_spacing  Rel. int.
38.3  2.352  1000
38.8  2.318  546
70.0  1.345  338
56.1  1.639  187
27.2  3.278  182
68.8  1.364  119
42.3  2.135  107
81.9  1.176  74
26.4  3.375  70
54.4  1.688  61
47.6  1.911  61
83.4  1.159  60

```
LiHf5Tc4
1.0
3.2783 0.0000 0.0000
0.0000 3.2783 0.0000
0.0000 0.0000 16.8750
Li Hf Tc
1 5 4
Direct
0.0000 0.0000 0.0000
0.5000 0.5000 0.1199
0.5000 0.5000 0.3076
0.5000 0.5000 0.5000
0.5000 0.5000 0.6924
0.5000 0.5000 0.8801
0.0000 0.0000 0.2052
0.0000 0.0000 0.4028
0.0000 0.0000 0.5972
0.0000 0.0000 0.7948
```

=====

[3]
This entry pairs a crystal structure of LiHf3Te with its theoretical X-ray diffraction stick pattern. Radiation: λ = 1.5418 Å (Cu Kα). Structure: a crystal structure in Alexandria, relaxed with GGA-PBE.

Most intense lines, 15° ≤ 2θ ≤ 90°, by intensity:
2theta  d_spacing  Rel. int.
32.9  2.726  1000
38.1  2.360  519
65.6  1.423  413
55.0  1.669  361
68.9  1.363  123
81.6  1.180  58
18.8  4.721  22
26.7  3.338  13
42.8  2.111  12
47.2  1.927  6
58.7  1.574  6

```
LiHf3Te
1.0
4.7208 0.0000 0.0000
0.0000 4.7208 0.0000
0.0000 0.0000 4.7208
Li Hf Te
1 3 1
Direct
0.0000 0.0000 0.0000
0.0000 0.0000 0.5000
0.0000 0.5000 0.0000
0.5000 0.0000 0.0000
0.5000 0.5000 0.5000
```

=====

[4]
This entry pairs a crystal structure of LiHf4Te8 with its theoretical X-ray diffraction stick pattern. Radiation: λ = 1.5418 Å (Cu Kα). Structure: a crystal structure in Alexandria, relaxed with GGA-PBE.

Most intense lines, 15° ≤ 2θ ≤ 90°, by intensity:
2theta  d_spacing  Rel. int.
28.8  3.101  1000
45.6  1.988  336
36.3  2.473  323
36.2  2.482  322
46.3  1.959  184
54.8  1.675  109
46.5  1.952  91
74.1  1.280  89
51.2  1.783  80
59.5  1.553  77
59.7  1.549  75
47.4  1.917  72

```
LiHf4Te8
1.0
6.8862 -3.9777 0.0000
6.8862 3.9777 0.0000
-6.8500 0.0000 7.1324
Li Hf Te
1 4 8
Direct
0.0000 0.0000 0.0000
0.2522 0.2522 0.4999
0.2565 0.7435 0.5000
0.7435 0.2565 0.5000
0.7478 0.7478 0.5001
0.0394 0.0394 0.7440
0.0429 0.5377 0.7496
0.4581 0.4581 0.2478
0.4623 0.9571 0.2504
0.5377 0.0429 0.7496
0.5419 0.5419 0.7522
0.9571 0.4623 0.2504
0.9606 0.9606 0.2560
```

=====

[5]
This entry pairs a crystal structure of LiHfTl2Te4 with its theoretical X-ray diffraction stick pattern. Radiation: λ = 1.5418 Å (Cu Kα). Structure: a crystal structure in Alexandria, relaxed with GGA-PBE.

Most intense lines, 15° ≤ 2θ ≤ 90°, by intensity:
2theta  d_spacing  Rel. int.
28.7  3.115  1000
28.3  3.159  499
41.6  2.171  379
39.7  2.268  338
37.9  2.373  197
53.0  1.728  175
43.9  2.064  166
31.3  2.854  145
59.3  1.558  119
68.3  1.373  114
49.6  1.839  108
34.3  2.615  97

```
LiHfTl2Te4
1.0
7.6605 0.0000 0.0000
0.0000 4.1280 0.0000
-2.2788 0.0000 7.8462
Li Hf Tl Te
1 1 2 4
Direct
0.0000 0.0000 0.0000
0.5000 0.5000 0.0000
0.0000 0.5000 0.5000
0.5000 0.0000 0.5000
0.2512 0.5000 0.2069
0.2736 0.0000 0.7952
0.7264 0.0000 0.2048
0.7488 0.5000 0.7931
```

=====

[6]
This entry pairs a crystal structure of LiHfZn with its theoretical X-ray diffraction stick pattern. Radiation: λ = 1.5418 Å (Cu Kα). Structure: a crystal structure in Alexandria, relaxed with GGA-PBE.

Most intense lines, 15° ≤ 2θ ≤ 90°, by intensity:
2theta  d_spacing  Rel. int.
39.4  2.288  1000
22.3  3.978  964
39.2  2.297  656
71.2  1.324  346
56.8  1.621  343
80.4  1.194  160
45.6  1.989  150
61.7  1.504  123
71.1  1.326  112
51.5  1.775  96
71.5  1.319  80
84.3  1.148  71

```
LiHfZn
1.0
4.5939 0.0000 0.0000
-2.2969 3.9784 0.0000
0.0000 0.0000 2.7965
Li Hf Zn
1 1 1
Direct
0.0000 0.0000 0.0000
0.6667 0.3333 0.5000
0.3333 0.6667 0.0000
```

=====

[7]
This entry pairs a crystal structure of LuHfMg with its theoretical X-ray diffraction stick pattern. Radiation: λ = 1.5418 Å (Cu Kα). Structure: a crystal structure in Alexandria, relaxed with GGA-PBE.

Most intense lines, 15° ≤ 2θ ≤ 90°, by intensity:
2theta  d_spacing  Rel. int.
33.6  2.664  1000
38.6  2.331  346
66.7  1.402  278
27.8  3.204  234
56.7  1.623  222
68.4  1.371  162
39.9  2.261  155
43.2  2.095  122
55.8  1.648  120
70.7  1.332  115
40.9  2.205  111
73.0  1.295  53

```
LuHfMg
1.0
-1.6484 1.6484 6.7844
1.6484 -1.6484 6.7844
1.6484 1.6484 -6.7844
Lu Hf Mg
1 1 1
Direct
0.0000 0.0000 0.0000
0.3405 0.3405 0.0000
0.6804 0.6804 0.0000
```

=====

[8]
This entry pairs a crystal structure of PrLuHfSc with its theoretical X-ray diffraction stick pattern. Radiation: λ = 1.5418 Å (Cu Kα). Structure: a crystal structure in Alexandria, relaxed with GGA-PBE.

Most intense lines, 15° ≤ 2θ ≤ 90°, by intensity:
2theta  d_spacing  Rel. int.
33.4  2.679  1000
59.8  1.547  376
48.0  1.894  181
80.1  1.198  162
20.3  4.375  136
70.3  1.339  116
39.4  2.285  79
89.6  1.094  42
23.5  3.789  42
52.7  1.738  36
63.8  1.458  27
74.0  1.281  27

```
PrLuHfSc
1.0
0.0000 3.7886 3.7886
3.7886 0.0000 3.7886
3.7886 3.7886 0.0000
Pr Lu Hf Sc
1 1 1 1
Direct
0.0000 0.0000 0.0000
0.7500 0.7500 0.7500
0.5000 0.5000 0.5000
0.2500 0.2500 0.2500
```

=====

[9]
This entry pairs a crystal structure of LuHfRh2 with its theoretical X-ray diffraction stick pattern. Radiation: λ = 1.5418 Å (Cu Kα). Structure: a crystal structure in Alexandria, relaxed with GGA-PBE.

Most intense lines, 15° ≤ 2θ ≤ 90°, by intensity:
2theta  d_spacing  Rel. int.
38.4  2.344  1000
38.6  2.332  493
69.7  1.349  345
69.3  1.356  175
55.7  1.649  169
82.3  1.172  111
55.1  1.666  88
27.0  3.298  73
82.8  1.166  54
26.8  3.332  37
47.6  1.910  34
62.5  1.487  16

```
LuHfRh2
1.0
4.6637 0.0000 0.0000
0.0000 4.6637 0.0000
0.0000 0.0000 3.3320
Lu Hf Rh
1 1 2
Direct
0.0000 0.0000 0.0000
0.5000 0.5000 0.0000
0.0000 0.5000 0.5000
0.5000 0.0000 0.5000
```

=====

[10]
This entry pairs a crystal structure of SmLuHf with its theoretical X-ray diffraction stick pattern. Radiation: λ = 1.5418 Å (Cu Kα). Structure: a crystal structure in Alexandria, relaxed with GGA-PBE.

Most intense lines, 15° ≤ 2θ ≤ 90°, by intensity:
2theta  d_spacing  Rel. int.
32.4  2.766  1000
37.5  2.401  678
32.1  2.792  314
64.4  1.447  257
54.2  1.692  237
53.8  1.703  215
64.6  1.443  139
64.0  1.454  136
89.2  1.098  121
67.8  1.383  121
79.9  1.200  68
88.7  1.103  58

```
SmLuHf
1.0
3.3832 0.0000 0.0000
-1.6916 2.9299 0.0000
0.0000 0.0000 8.3749
Sm Lu Hf
1 1 1
Direct
0.0000 0.0000 0.0000
0.3333 0.6667 0.6276
0.6667 0.3333 0.3188
```

=====

[11]
This entry pairs a crystal structure of LuHfTc4 with its theoretical X-ray diffraction stick pattern. Radiation: λ = 1.5418 Å (Cu Kα). Structure: a crystal structure in Alexandria, relaxed with GGA-PBE.

Most intense lines, 15° ≤ 2θ ≤ 90°, by intensity:
2theta  d_spacing  Rel. int.
39.9  2.258  1000
33.9  2.648  476
64.7  1.441  319
71.2  1.324  251
41.8  2.162  235
60.6  1.529  181
84.9  1.142  114
86.1  1.129  84
81.2  1.184  79
20.5  4.324  15
53.3  1.718  5

```
LuHfTc4
1.0
0.0000 3.7447 3.7447
3.7447 0.0000 3.7447
3.7447 3.7447 0.0000
Lu Hf Tc
1 1 4
Direct
0.0000 0.0000 0.0000
0.7500 0.7500 0.7500
0.3752 0.3752 0.3752
0.3752 0.3752 0.8744
0.3752 0.8744 0.3752
0.8744 0.3752 0.3752
```

=====

[12]
This entry pairs a crystal structure of LuHfTh with its theoretical X-ray diffraction stick pattern. Radiation: λ = 1.5418 Å (Cu Kα). Structure: a crystal structure in Alexandria, relaxed with GGA-PBE.

Most intense lines, 15° ≤ 2θ ≤ 90°, by intensity:
2theta  d_spacing  Rel. int.
32.3  2.774  1000
38.1  2.363  329
65.2  1.431  273
53.5  1.713  230
36.1  2.488  174
62.5  1.486  133
55.0  1.671  116
67.5  1.387  115
88.0  1.110  107
88.9  1.101  44
81.5  1.182  38
50.8  1.798  24

```
LuHfTh
1.0
-1.6709 1.6709 7.4634
1.6709 -1.6709 7.4634
1.6709 1.6709 -7.4634
Lu Hf Th
1 1 1
Direct
0.0000 0.0000 0.0000
0.6522 0.6522 0.0000
0.3148 0.3148 0.0000
```